Simulated PXRD pattern
Compound: Li2HoSiGe2
Radiation: Cu Kα, 1.54184 Å
Structure: the PBE geometry in Alexandria
Neutral-atom scattering factors, no anomalous dispersion.

a b c (Å): 4.0117 7.6582 7.6279
angles (deg): 90.00 90.00 90.00
Space group Pmc2_1 (No. 26)
Inequivalent atoms, fractional coordinates:
1 Li 0.0000 0.1009 0.0000
2 Li 0.5000 0.1447 0.3383
3 Ho 0.5000 0.4760 0.0011
4 Si 0.0000 0.3462 0.7386
5 Ge 0.0000 0.3428 0.2612
6 Ge 0.5000 0.1645 0.7012

Main lines, low angle first (2θ = 10–90°):
Position (°2θ), intensity, h k l
11.56, 100, 0 1 0
26.07, 33, 0 1 2
32.36, 39, 1 0 2
33.15, 29, 0 2 2
34.49, 73, 1 1 2
41.95, 31, 1 3 0

Simulated PXRD pattern
Compound: RbLiHo2Cl8
Radiation: Cu Kα, 1.54184 Å
Structure: the PBE geometry in Alexandria
Neutral-atom scattering factors, no anomalous dispersion.

a b c (Å): 6.7087 8.2871 6.8371
angles (deg): 90.00 97.43 90.00
Space group P2/m (No. 10)
Inequivalent atoms, fractional coordinates:
1 Rb 0.0000 0.0000 0.0000
2 Li 0.0000 0.5000 0.0000
3 Ho 0.5000 0.2601 0.5000
4 Cl 0.2304 0.2910 0.1950
5 Cl 0.3057 0.5000 0.6584
6 Cl 0.3165 0.0000 0.6446

Main lines, low angle first (2θ = 10–90°):
Position (°2θ), intensity, h k l
13.06, 58, 0 0 1
13.31, 56, 1 0 0
17.43, 100, 1 0 -1
19.87, 58, 1 0 1
27.76, 52, 1 2 -1
35.80, 45, 2 2 -1

Simulated PXRD pattern
Compound: Pm4Mg2Cd3
Radiation: Cu Kα, 1.54184 Å
Structure: the PBE geometry in Alexandria
Neutral-atom scattering factors, no anomalous dispersion.

a b c (Å): 10.8550 5.0486 9.7608
angles (deg): 90.00 112.28 90.00
Space group C2/m (No. 12)
Inequivalent atoms, fractional coordinates:
1 Pm 0.0436 0.0000 0.3465
2 Pm 0.1543 0.5000 0.8931
3 Mg 0.2080 0.5000 0.2646
4 Cd 0.0000 0.0000 0.0000
5 Cd 0.1447 0.5000 0.5597

Main lines, low angle first (2θ = 10–90°):
Position (°2θ), intensity, h k l
32.08, 82, 3 1 0
32.83, 100, 1 1 -3
35.56, 42, 0 2 0
36.91, 27, 4 0 -3
40.35, 22, 2 0 3
54.86, 21, 2 2 3

Copy entry 1 word for word.
Simulated PXRD pattern
Compound: Li2HoSiGe2
Radiation: Cu Kα, 1.54184 Å
Structure: the PBE geometry in Alexandria
Neutral-atom scattering factors, no anomalous dispersion.

a b c (Å): 4.0117 7.6582 7.6279
angles (deg): 90.00 90.00 90.00
Space group Pmc2_1 (No. 26)
Inequivalent atoms, fractional coordinates:
1 Li 0.0000 0.1009 0.0000
2 Li 0.5000 0.1447 0.3383
3 Ho 0.5000 0.4760 0.0011
4 Si 0.0000 0.3462 0.7386
5 Ge 0.0000 0.3428 0.2612
6 Ge 0.5000 0.1645 0.7012

Main lines, low angle first (2θ = 10–90°):
Position (°2θ), intensity, h k l
11.56, 100, 0 1 0
26.07, 33, 0 1 2
32.36, 39, 1 0 2
33.15, 29, 0 2 2
34.49, 73, 1 1 2
41.95, 31, 1 3 0